Computed X-ray diffraction stick pattern
Compound: Ho2ZnCu3
Radiation: Cu Kα (weighted mean of Kα1 and Kα2)
Structure: a DFT-relaxed cell (GGA-PBE, Alexandria)
No peak broadening, texture or thermal motion is included.

Largest 10 diffraction maxima, in order of rising 2θ, 2θ from 10° to 80°:
index	two_theta	d/Å	I_rel
0 0 4	22.70	3.916	14
1 0 3	29.03	3.076	21
1 1 2	35.07	2.559	100
0 1 5	36.99	2.430	35
1 0 5	37.17	2.419	20
0 2 0	47.15	1.928	38
2 0 0	47.80	1.903	17
2 1 5	61.93	1.498	15
1 2 7	68.89	1.363	13
1 1 10	69.28	1.356	14

Structure:
Lattice parameters (Å, degrees): 3.806 3.851 15.666 90.00 90.00 90.00
Space group Imm2 (No. 44)
Unique sites:
Ho: 0.000 0.000 0.000
Ho: 0.000 0.500 0.264
Zn: 0.000 0.000 0.592
Cu: 0.000 0.000 0.431
Cu: 0.000 0.500 0.683
Cu: 0.000 0.500 0.839